Simulated powder diffractogram
Compound: DyNbC2I2
Radiation: Cu Kα X-rays
Structure: a crystal structure in OQMD, relaxed with GGA-PBE
Lines closer than 0.1° are merged.

The 12 most intense peaks (2θ = 10–80°), by angle:
2θ (°)	d [Å]	I (rel.)
16.41	5.402	25
25.09	3.550	25
27.28	3.269	51
29.21	3.057	81
31.57	2.834	46
32.42	2.761	100
36.61	2.454	58
37.70	2.386	26
41.80	2.161	28
42.80	2.113	24
45.56	1.991	47
58.51	1.578	22

Structural model:
```
DyNbC2I2
1.0
7.1137 0.0000 0.0000
0.0000 3.6833 0.0000
-0.6884 0.0000 10.8043
Dy Nb C I
2 2 4 4
direct
0.0000 0.0000 0.0000
0.5000 0.5000 0.0000
0.2023 0.5000 0.7722
0.7023 0.0000 0.7722
0.2812 0.0000 0.9030
0.4419 0.0000 0.8400
0.7812 0.5000 0.9030
0.9419 0.5000 0.8400
0.0388 0.0000 0.5826
0.1830 0.5000 0.2011
0.5388 0.5000 0.5826
0.6830 0.0000 0.2011
```

---

Simulated powder diffractogram
Compound: Dy7C2I12O
Radiation: Cu Kα X-rays
Structure: a crystal structure in OQMD, relaxed with GGA-PBE
Lines closer than 0.1° are merged.

The 12 most intense peaks (2θ = 10–80°), by angle:
2θ (°)	d [Å]	I (rel.)
10.36	8.541	32
10.48	8.445	29
24.79	3.592	15
28.41	3.142	100
28.93	3.086	87
29.08	3.071	83
31.45	2.845	15
40.76	2.214	24
41.09	2.197	71
41.22	2.190	26
41.89	2.156	22
58.78	1.571	16

Structural model:
```
Dy7C2I12O
1.0
9.9091 0.0000 0.0000
-4.1809 9.8690 0.0000
-0.8422 -4.1528 16.4485
Dy C I O
14 4 24 2
direct
0.0246 0.4428 0.1864
0.0465 0.2554 0.6887
0.1424 0.4508 0.9804
0.1655 0.5506 0.3874
0.2213 0.7568 0.1579
0.3690 0.8816 0.3579
0.4359 0.5730 0.2378
0.5641 0.4270 0.7622
0.6310 0.1184 0.6421
0.7787 0.2432 0.8421
0.8345 0.4494 0.6126
0.8576 0.5492 0.0196
0.9535 0.7446 0.3113
0.9754 0.5572 0.8136
0.1355 0.6790 0.2828
0.2545 0.6388 0.2648
0.7455 0.3612 0.7352
0.8645 0.3210 0.7172
0.0448 0.1548 0.8513
0.0591 0.7423 0.6992
0.1065 0.3981 0.5495
0.1604 0.0234 0.4095
0.1888 0.7957 0.9722
0.2273 0.3004 0.1084
0.2855 0.5282 0.8164
0.3233 0.1528 0.6664
0.3774 0.8037 0.5199
0.4046 0.4321 0.3730
0.4472 0.0496 0.2294
0.4634 0.6744 0.0744
0.5366 0.3256 0.9256
0.5528 0.9504 0.7706
0.5954 0.5679 0.6270
0.6226 0.1963 0.4801
0.6767 0.8472 0.3336
0.7145 0.4718 0.1836
0.7727 0.6996 0.8916
0.8112 0.2043 0.0278
0.8396 0.9766 0.5905
0.8935 0.6019 0.4505
0.9409 0.2577 0.3008
0.9552 0.8452 0.1487
0.0570 0.5471 0.0817
0.9430 0.4529 0.9183
```

---

Simulated powder diffractogram
Compound: Pr2Dy2CI5
Radiation: Cu Kα X-rays
Structure: a crystal structure in OQMD, relaxed with GGA-PBE
Lines closer than 0.1° are merged.

The 12 most intense peaks (2θ = 10–80°), by angle:
2θ (°)	d [Å]	I (rel.)
10.20	8.676	36
28.32	3.151	37
29.18	3.060	18
29.78	3.000	100
30.86	2.898	12
31.27	2.861	11
32.33	2.769	38
40.61	2.221	16
41.37	2.183	24
41.76	2.163	23
44.54	2.034	18
53.63	1.709	12

Structural model:
```
Pr2Dy2CI5
1.0
9.6818 -2.0341 0.0000
9.6818 2.0341 0.0000
-1.9219 0.0000 8.6764
Pr Dy C I
2 2 1 5
direct
0.0012 0.0012 0.3041
0.9988 0.9988 0.6959
0.3720 0.3720 0.4361
0.6280 0.6280 0.5639
0.5000 0.5000 0.5000
0.1670 0.1670 0.8281
0.1719 0.1719 0.3387
0.5000 0.5000 0.0000
0.8281 0.8281 0.6613
0.8330 0.8330 0.1719
```

---

Simulated powder diffractogram
Compound: SmDyC2I2
Radiation: Cu Kα X-rays
Structure: a crystal structure in OQMD, relaxed with GGA-PBE
Lines closer than 0.1° are merged.

The 12 most intense peaks (2θ = 10–80°), by angle:
2θ (°)	d [Å]	I (rel.)
15.60	5.679	24
25.59	3.481	50
28.07	3.179	76
29.58	3.020	21
29.74	3.004	40
30.47	2.934	100
35.49	2.530	28
39.67	2.272	21
40.46	2.230	30
43.31	2.089	44
45.98	1.974	22
54.74	1.677	23

Structural model:
```
SmDyC2I2
1.0
7.3981 0.0000 0.0000
0.0000 3.9474 0.0000
-0.6396 0.0000 11.3587
Sm Dy C I
2 2 4 4
direct
0.0000 0.0000 0.0000
0.5000 0.5000 0.0000
0.2092 0.5000 0.7541
0.7092 0.0000 0.7541
0.2785 0.0000 0.8994
0.4323 0.0000 0.8447
0.7785 0.5000 0.8994
0.9323 0.5000 0.8447
0.0322 0.0000 0.5701
0.1802 0.5000 0.1898
0.5322 0.5000 0.5701
0.6802 0.0000 0.1898
```

---

Simulated powder diffractogram
Compound: DyTmC2I2
Radiation: Cu Kα X-rays
Structure: a crystal structure in OQMD, relaxed with GGA-PBE
Lines closer than 0.1° are merged.

The 12 most intense peaks (2θ = 10–80°), by angle:
2θ (°)	d [Å]	I (rel.)
15.88	5.582	21
26.11	3.413	52
28.52	3.129	78
30.16	2.963	23
30.31	2.949	43
31.09	2.876	100
36.21	2.481	31
40.40	2.233	23
41.20	2.191	28
44.15	2.051	45
46.99	1.934	22
55.89	1.645	23

Structural model:
```
DyTmC2I2
1.0
7.2723 0.0000 0.0000
0.0000 3.8675 0.0000
-0.6664 0.0000 11.1640
Dy Tm C I
2 2 4 4
direct
0.0000 0.0000 0.0000
0.5000 0.5000 0.0000
0.2909 0.0000 0.2424
0.7909 0.5000 0.2424
0.0669 0.5000 0.1523
0.2229 0.5000 0.0958
0.5669 0.0000 0.1523
0.7229 0.0000 0.0958
0.3207 0.0000 0.8108
0.4682 0.5000 0.4288
0.8207 0.5000 0.8108
0.9682 0.0000 0.4288
```

---

Simulated powder diffractogram
Compound: DyYIr2C2N2
Radiation: Cu Kα X-rays
Structure: a crystal structure in OQMD, relaxed with GGA-PBE
Lines closer than 0.1° are merged.

The 12 most intense peaks (2θ = 10–80°), by angle:
2θ (°)	d [Å]	I (rel.)
12.11	7.307	82
24.36	3.653	15
26.84	3.322	26
34.36	2.610	20
36.22	2.480	100
36.91	2.436	36
42.27	2.138	68
48.84	1.865	37
61.78	1.502	23
62.76	1.481	31
71.56	1.319	12
74.19	1.278	12

Structural model:
```
DyYIr2C2N2
1.0
3.7293 0.0000 0.0000
0.0000 3.7293 0.0000
0.0000 0.0000 7.3067
Dy Y Ir C N
1 1 2 2 2
direct
0.0000 0.0000 0.0000
0.5000 0.5000 0.6664
0.0000 0.5000 0.3328
0.5000 0.0000 0.3328
0.0000 0.0000 0.4933
0.5000 0.5000 0.1730
0.0000 0.0000 0.6838
0.5000 0.5000 0.9824
```